No. 1
Theoretical XRD peak list of InSnHg14 for Cu Ka, from DFT lattice parameters and positions (PBE).
Neutral-atom scattering factors, no anomalous dispersion.

Atomic structure:
a = 6.341 Å, b = 10.713 Å, c = 6.389 Å
α = 90.00°, β = 90.82°, γ = 90.00°
Fractional positions:
1 In 0.000 0.000 0.000
2 Sn 0.486 0.000 0.486
3 Hg 0.033 0.500 0.514
4 Hg 0.137 0.247 0.264
5 Hg 0.137 0.753 0.264
6 Hg 0.193 0.500 0.008
7 Hg 0.309 0.246 0.762
8 Hg 0.309 0.754 0.762
9 Hg 0.504 0.000 0.990
10 Hg 0.535 0.500 0.585
11 Hg 0.637 0.249 0.295
12 Hg 0.637 0.751 0.295
13 Hg 0.688 0.500 0.083
14 Hg 0.812 0.262 0.792
15 Hg 0.812 0.738 0.792
16 Hg 0.980 0.000 0.509

Largest 10 diffraction maxima, sorted by position, 2θ from 10° to 80°:
2θ/deg, d [Å], I_rel
31.69, 2.824, 27.2
32.64, 2.744, 100.0
32.82, 2.729, 28.8
33.46, 2.678, 52.0
35.62, 2.520, 43.3
46.75, 1.943, 18.6
59.29, 1.559, 18.3
61.22, 1.514, 9.4
62.66, 1.483, 11.6
68.39, 1.372, 9.9

---

No. 2
Theoretical XRD peak list of AlTl2AgAu2 for Cu Ka, from DFT lattice parameters and positions (PBE).
Neutral-atom scattering factors, no anomalous dispersion.

Atomic structure:
a = 8.445 Å, b = 8.445 Å, c = 8.445 Å
α = 138.09°, β = 60.89°, γ = 137.93°
Fractional positions:
1 Al 0.250 0.250 0.000
2 Al 0.750 0.750 0.000
3 Tl 0.179 0.702 0.881
4 Tl 0.321 0.202 0.523
5 Tl 0.679 0.798 0.477
6 Tl 0.821 0.298 0.119
7 Ag 0.250 0.750 0.500
8 Ag 0.750 0.250 0.500
9 Au 0.115 0.199 0.314
10 Au 0.385 0.699 0.084
11 Au 0.615 0.301 0.916
12 Au 0.885 0.801 0.686

Largest 10 diffraction maxima, sorted by position, 2θ from 10° to 80°:
2θ/deg, d [Å], I_rel
29.46, 3.032, 62.4
29.58, 3.020, 36.9
31.98, 2.799, 27.5
32.28, 2.773, 100.0
33.71, 2.659, 60.3
38.69, 2.327, 91.2
42.24, 2.140, 69.0
42.84, 2.111, 58.3
63.85, 1.458, 26.7
64.05, 1.454, 29.3

---

No. 3
Theoretical XRD peak list of DyZnO3 for Cu Ka, from DFT lattice parameters and positions (PBE).
Neutral-atom scattering factors, no anomalous dispersion.

Atomic structure:
a = 6.266 Å, b = 6.266 Å, c = 6.266 Å
α = 52.89°, β = 52.89°, γ = 52.89°
Fractional positions:
1 Dy 0.000 0.000 0.000
2 Dy 0.500 0.500 0.500
3 Zn 0.250 0.250 0.250
4 Zn 0.750 0.750 0.750
5 O 0.089 0.750 0.411
6 O 0.250 0.589 0.911
7 O 0.411 0.089 0.750
8 O 0.589 0.911 0.250
9 O 0.750 0.411 0.089
10 O 0.911 0.250 0.589

Largest 10 diffraction maxima, sorted by position, 2θ from 10° to 80°:
2θ/deg, d [Å], I_rel
21.44, 4.145, 30.8
28.85, 3.095, 100.0
32.08, 2.790, 60.5
43.68, 2.072, 33.1
48.97, 1.860, 23.1
55.21, 1.664, 32.5
57.18, 1.611, 20.1
59.75, 1.548, 12.9
69.45, 1.353, 16.1
74.62, 1.272, 12.8

---

No. 4
Theoretical XRD peak list of Ce3TlHg for Cu Ka, from DFT lattice parameters and positions (PBE).
Neutral-atom scattering factors, no anomalous dispersion.

Atomic structure:
a = 9.740 Å, b = 9.740 Å, c = 3.361 Å
α = 90.00°, β = 90.00°, γ = 114.08°
Fractional positions:
1 Ce 0.178 0.344 0.000
2 Ce 0.194 0.806 0.000
3 Ce 0.344 0.178 0.000
4 Ce 0.656 0.822 0.000
5 Ce 0.806 0.194 0.000
6 Ce 0.822 0.656 0.000
7 Tl 0.000 0.000 0.500
8 Tl 0.500 0.500 0.500
9 Hg 0.000 0.500 0.500
10 Hg 0.500 0.000 0.500

Largest 10 diffraction maxima, sorted by position, 2θ from 10° to 80°:
2θ/deg, d [Å], I_rel
21.75, 4.086, 13.9
33.42, 2.681, 100.0
33.83, 2.650, 38.0
34.55, 2.596, 29.2
37.11, 2.423, 50.5
49.13, 1.854, 21.5
52.41, 1.746, 15.4
60.26, 1.536, 18.1
63.85, 1.458, 17.0
67.87, 1.381, 17.5

---

No. 5
Theoretical XRD peak list of Dy6CdRu5 for Cu Ka, from DFT lattice parameters and positions (PBE).
Neutral-atom scattering factors, no anomalous dispersion.

Atomic structure:
a = 4.878 Å, b = 6.931 Å, c = 7.674 Å
α = 90.00°, β = 108.42°, γ = 90.00°
Fractional positions:
1 Dy 0.000 0.235 0.000
2 Dy 0.000 0.765 0.000
3 Dy 0.327 0.245 0.655
4 Dy 0.327 0.755 0.655
5 Dy 0.673 0.245 0.345
6 Dy 0.673 0.755 0.345
7 Cd 0.500 0.500 0.000
8 Ru 0.163 0.500 0.327
9 Ru 0.166 0.000 0.333
10 Ru 0.500 0.000 0.000
11 Ru 0.834 0.000 0.667
12 Ru 0.837 0.500 0.673

Largest 10 diffraction maxima, sorted by position, 2θ from 10° to 80°:
2θ/deg, d [Å], I_rel
36.82, 2.441, 100.0
37.04, 2.427, 19.5
52.84, 1.733, 6.9
53.18, 1.722, 6.8
53.30, 1.719, 6.8
66.15, 1.413, 6.9
66.30, 1.410, 13.8
66.39, 1.408, 7.0
66.61, 1.404, 13.3
78.31, 1.221, 8.4

---

No. 6
Theoretical XRD peak list of H3Os for Cu Ka, from DFT lattice parameters and positions (PBE).
Neutral-atom scattering factors, no anomalous dispersion.

Atomic structure:
a = 3.788 Å, b = 3.788 Å, c = 4.568 Å
α = 96.85°, β = 99.21°, γ = 93.42°
Fractional positions:
1 H 0.195 0.207 0.224
2 H 0.198 0.710 0.245
3 H 0.302 0.790 0.755
4 H 0.698 0.210 0.245
5 H 0.802 0.290 0.755
6 H 0.805 0.793 0.776
7 Os 0.000 0.000 0.500
8 Os 0.500 0.500 0.500

Largest 10 diffraction maxima, sorted by position, 2θ from 10° to 80°:
2θ/deg, d [Å], I_rel
19.86, 4.471, 100.0
32.49, 2.756, 29.4
35.30, 2.543, 24.3
36.94, 2.434, 21.4
37.86, 2.377, 19.8
38.87, 2.317, 18.5
40.35, 2.235, 16.0
44.43, 2.039, 12.7
48.43, 1.879, 9.9
48.57, 1.874, 9.6

---

No. 7
Theoretical XRD peak list of Ni3Pt2Rh3 for Cu Ka, from DFT lattice parameters and positions (PBE).
Neutral-atom scattering factors, no anomalous dispersion.

Atomic structure:
a = 3.729 Å, b = 3.804 Å, c = 7.624 Å
α = 90.00°, β = 90.00°, γ = 90.00°
Fractional positions:
1 Ni 0.000 0.000 0.000
2 Ni 0.000 0.500 0.248
3 Ni 0.000 0.500 0.752
4 Pt 0.500 0.000 0.245
5 Pt 0.500 0.000 0.755
6 Rh 0.000 0.000 0.500
7 Rh 0.500 0.500 0.000
8 Rh 0.500 0.500 0.500

Largest 10 diffraction maxima, sorted by position, 2θ from 10° to 80°:
2θ/deg, d [Å], I_rel
23.37, 3.806, 8.1
23.86, 3.729, 11.1
33.27, 2.693, 9.6
33.63, 2.665, 6.7
41.36, 2.183, 100.0
47.72, 1.906, 16.4
47.82, 1.902, 16.4
48.85, 1.864, 15.4
69.86, 1.346, 10.2
70.72, 1.332, 19.8

---

No. 8
Theoretical XRD peak list of Pm4Ge3Br for Cu Ka, from DFT lattice parameters and positions (PBE).
Neutral-atom scattering factors, no anomalous dispersion.

Atomic structure:
a = 7.387 Å, b = 7.387 Å, c = 4.294 Å
α = 90.00°, β = 90.00°, γ = 109.38°
Fractional positions:
1 Pm 0.233 0.233 0.500
2 Pm 0.246 0.754 0.000
3 Pm 0.754 0.246 0.000
4 Pm 0.767 0.767 0.500
5 Ge 0.000 0.000 0.000
6 Ge 0.000 0.500 0.500
7 Ge 0.500 0.000 0.500
8 Br 0.500 0.500 0.000

Largest 10 diffraction maxima, sorted by position, 2θ from 10° to 80°:
2θ/deg, d [Å], I_rel
25.52, 3.491, 27.3
29.50, 3.028, 100.0
29.64, 3.014, 50.0
42.09, 2.147, 19.3
42.32, 2.136, 92.3
52.32, 1.749, 20.3
52.53, 1.742, 18.9
69.49, 1.353, 16.2
69.70, 1.349, 16.6
77.40, 1.233, 17.4

---

No. 9
Theoretical XRD peak list of Ac6PmTl5 for Cu Ka, from DFT lattice parameters and positions (PBE).
Neutral-atom scattering factors, no anomalous dispersion.

Atomic structure:
a = 10.273 Å, b = 10.273 Å, c = 10.273 Å
α = 146.97°, β = 132.52°, γ = 59.06°
Fractional positions:
1 Ac 0.071 0.327 0.744
2 Ac 0.233 0.000 0.233
3 Ac 0.417 0.673 0.744
4 Ac 0.583 0.327 0.256
5 Ac 0.767 0.000 0.767
6 Ac 0.929 0.673 0.256
7 Pm 0.500 0.500 0.000
8 Tl 0.000 0.500 0.500
9 Tl 0.168 0.168 0.000
10 Tl 0.348 0.848 0.500
11 Tl 0.652 0.152 0.500
12 Tl 0.832 0.832 0.000

Largest 10 diffraction maxima, sorted by position, 2θ from 10° to 80°:
2θ/deg, d [Å], I_rel
29.99, 2.980, 24.8
30.44, 2.937, 100.0
30.61, 2.921, 25.4
43.38, 2.086, 18.5
43.78, 2.068, 9.3
53.53, 1.712, 18.7
53.97, 1.699, 9.5
54.32, 1.689, 30.3
63.33, 1.468, 11.8
72.16, 1.309, 8.1